# Mg6TiBi
Simulated powder X-ray diffraction pattern, Cu Kα (weighted mean of Kα1 and Kα2). Input: a crystal structure in the Materials Project, relaxed with GGA-PBE.

Structure:
```
Mg6TiBi
1.0
5.1103 0.0000 0.0000
0.0000 3.2501 5.4347
0.0000 -3.2501 5.4347
Mg Ti Bi
6 1 1
direct
0.0000 0.0000 0.0000
0.0000 0.5034 0.9854
0.0000 0.9854 0.5034
0.5000 0.3346 0.8262
0.5000 0.8262 0.3346
0.5000 0.8312 0.8312
0.0000 0.4991 0.4991
0.5000 0.3378 0.3378
```

Top 8 peaks for 2θ = 10–90°, in order of rising 2θ:
15.89 deg, 5.579 Å, rel. 100; 16.31 deg, 5.435 Å, rel. 36; 23.61 deg, 3.768 Å, rel. 65; 23.90 deg, 3.723 Å, rel. 41; 33.30 deg, 2.691 Å, rel. 39; 35.12 deg, 2.555 Å, rel. 35; 36.71 deg, 2.448 Å, rel. 93; 37.49 deg, 2.399 Å, rel. 48